1.
CuAuSe: calculated X-ray powder pattern (λ = 1.5418 Å (Cu Kα)), based on DFT lattice parameters and positions (PBE).

Top 6 peaks for 10 to 90 degrees two-theta, by intensity:
| Position (°2θ) | I_rel |
| --- | --- |
| 42.46 | 100 |
| 43.84 | 52 |
| 30.61 | 50 |
| 25.90 | 45 |
| 79.62 | 32 |
| 33.91 | 28 |

Cell and atoms:
```
CuAuSe
1.0
4.1298 0.0000 0.0000
0.0000 4.1298 0.0000
0.0000 0.0000 6.2199
Cu Au Se
2 2 2
Direct
0.2500 0.7500 0.0000
0.7500 0.2500 0.0000
0.2500 0.2500 0.2843
0.7500 0.7500 0.7157
0.2500 0.2500 0.7219
0.7500 0.7500 0.2781
```

2.
TbDySbI2: calculated X-ray powder pattern (λ = 1.5418 Å (Cu Kα)), based on DFT lattice parameters and positions (PBE).

Top 6 peaks for 10 to 90 degrees two-theta, by intensity:
| Position (°2θ) | I_rel |
| --- | --- |
| 28.61 | 100 |
| 40.19 | 35 |
| 41.61 | 34 |
| 51.27 | 20 |
| 68.08 | 17 |
| 66.06 | 14 |

Cell and atoms:
```
TbDySbI2
1.0
4.3410 0.0000 0.0000
-2.1705 3.7594 0.0000
0.0000 0.0000 11.1877
Tb Dy Sb I
1 1 1 2
Direct
0.0000 0.0000 0.0000
0.3333 0.6667 0.3024
0.6667 0.3333 0.1516
0.0000 0.0000 0.4752
0.3333 0.6667 0.8272
```

3.
Nd2Sm2CI3Cl2: calculated X-ray powder pattern (λ = 1.5418 Å (Cu Kα)), based on DFT lattice parameters and positions (PBE).

Top 6 peaks for 10 to 90 degrees two-theta, by intensity:
| Position (°2θ) | I_rel |
| --- | --- |
| 30.17 | 100 |
| 10.27 | 74 |
| 29.01 | 41 |
| 33.16 | 29 |
| 41.61 | 24 |
| 43.08 | 23 |

Cell and atoms:
```
Nd2Sm2CI3Cl2
1.0
9.3958 -2.0106 0.0000
9.3958 2.0106 0.0000
-1.6239 0.0000 8.6163
Nd Sm C I Cl
2 2 1 3 2
Direct
0.0017 0.0017 0.3040
0.9983 0.9983 0.6960
0.3658 0.3658 0.4346
0.6342 0.6342 0.5654
0.5000 0.5000 0.5000
0.1754 0.1754 0.3163
0.5000 0.5000 0.0000
0.8246 0.8246 0.6837
0.1516 0.1516 0.7916
0.8484 0.8484 0.2084
```

4.
NaTbAu3S4: calculated X-ray powder pattern (λ = 1.5418 Å (Cu Kα)), based on DFT lattice parameters and positions (PBE).

Top 6 peaks for 10 to 90 degrees two-theta, by intensity:
| Position (°2θ) | I_rel |
| --- | --- |
| 13.68 | 100 |
| 37.12 | 30 |
| 36.65 | 30 |
| 29.51 | 26 |
| 27.56 | 25 |
| 36.96 | 24 |

Cell and atoms:
```
NaTbAu3S4
1.0
6.0583 0.0000 0.0000
0.0000 8.7864 0.0000
-2.6454 0.0000 9.5739
Na Tb Au S
2 2 6 8
Direct
0.2064 0.2500 0.1723
0.7936 0.7500 0.8277
0.3027 0.2500 0.6557
0.6973 0.7500 0.3443
0.1311 0.7500 0.2032
0.2076 0.5842 0.4877
0.2076 0.9158 0.4877
0.7924 0.0842 0.5123
0.7924 0.4158 0.5123
0.8689 0.2500 0.7968
0.0115 0.7500 0.6075
0.2554 0.2500 0.9102
0.3937 0.5261 0.3065
0.3937 0.9739 0.3065
0.6063 0.0261 0.6935
0.6063 0.4739 0.6935
0.7446 0.7500 0.0898
0.9885 0.2500 0.3925
```

5.
NaMgHg6: calculated X-ray powder pattern (λ = 1.5418 Å (Cu Kα)), based on DFT lattice parameters and positions (PBE).

Top 6 peaks for 10 to 90 degrees two-theta, by intensity:
| Position (°2θ) | I_rel |
| --- | --- |
| 35.88 | 100 |
| 23.22 | 25 |
| 34.80 | 24 |
| 31.25 | 24 |
| 67.30 | 22 |
| 63.09 | 20 |

Cell and atoms:
```
NaMgHg6
1.0
6.6100 0.0000 0.0000
-3.3050 5.7244 0.0000
0.0000 0.0000 5.1565
Na Mg Hg
1 1 6
Direct
0.0000 0.0000 0.0000
0.6667 0.3333 0.5000
0.1660 0.3321 0.5000
0.1660 0.8340 0.5000
0.5036 0.0072 0.0000
0.5036 0.4964 0.0000
0.6679 0.8340 0.5000
0.9928 0.4964 0.0000
```

6.
Li2Hf2Ga2IrPd: calculated X-ray powder pattern (λ = 1.5418 Å (Cu Kα)), based on DFT lattice parameters and positions (PBE).

Top 6 peaks for 10 to 90 degrees two-theta, by intensity:
| Position (°2θ) | I_rel |
| --- | --- |
| 40.55 | 100 |
| 24.50 | 47 |
| 73.77 | 34 |
| 47.95 | 24 |
| 58.64 | 11 |
| 64.56 | 10 |

Cell and atoms:
```
Li2Hf2Ga2IrPd
1.0
4.4526 0.0000 0.0000
0.0000 4.4526 0.0000
0.0000 0.0000 6.2828
Li Hf Ga Ir Pd
2 2 2 1 1
Direct
0.0000 0.0000 0.0000
0.5000 0.5000 0.5000
0.0000 0.5000 0.2454
0.5000 0.0000 0.7546
0.0000 0.5000 0.7531
0.5000 0.0000 0.2469
0.5000 0.5000 0.0000
0.0000 0.0000 0.5000
```

7.
Cs2Zr2P2O9: calculated X-ray powder pattern (λ = 1.5418 Å (Cu Kα)), based on DFT lattice parameters and positions (PBE).

Top 6 peaks for 10 to 90 degrees two-theta, by intensity:
| Position (°2θ) | I_rel |
| --- | --- |
| 24.89 | 100 |
| 28.75 | 66 |
| 28.86 | 55 |
| 38.15 | 54 |
| 25.40 | 49 |
| 24.79 | 49 |

Cell and atoms:
```
Cs2Zr2P2O9
1.0
4.8314 0.0000 0.0000
-1.1399 6.3601 0.0000
-2.0220 -1.8362 8.2935
Cs Zr P O
2 2 2 9
Direct
0.1816 0.3090 0.1404
0.8184 0.6910 0.8596
0.1517 0.7923 0.4711
0.8483 0.2077 0.5289
0.3819 0.1418 0.7659
0.6181 0.8582 0.2341
0.0000 0.5000 0.5000
0.0876 0.2118 0.7654
0.3251 0.8904 0.7271
0.3893 0.7503 0.0802
0.4647 0.2024 0.6083
0.5353 0.7976 0.3917
0.6107 0.2497 0.9198
0.6749 0.1096 0.2729
0.9124 0.7882 0.2346
```

8.
CdCu2As: calculated X-ray powder pattern (λ = 1.5418 Å (Cu Kα)), based on DFT lattice parameters and positions (PBE).

Top 6 peaks for 10 to 90 degrees two-theta, by intensity:
| Position (°2θ) | I_rel |
| --- | --- |
| 40.01 | 100 |
| 72.68 | 31 |
| 57.87 | 16 |
| 86.35 | 10 |
| 24.19 | 5 |
| 47.30 | 2 |

Cell and atoms:
```
CdCu2As
1.0
6.3736 0.0000 0.0000
0.0000 6.3736 0.0000
0.0000 0.0000 6.3736
Cd Cu As
4 8 4
Direct
0.0000 0.0000 0.0000
0.0000 0.5000 0.5000
0.5000 0.0000 0.5000
0.5000 0.5000 0.0000
0.0000 0.0000 0.5000
0.0000 0.5000 0.0000
0.2500 0.2500 0.7500
0.2500 0.7500 0.2500
0.5000 0.0000 0.0000
0.5000 0.5000 0.5000
0.7500 0.2500 0.2500
0.7500 0.7500 0.7500
0.2500 0.2500 0.2500
0.2500 0.7500 0.7500
0.7500 0.2500 0.7500
0.7500 0.7500 0.2500
```

9.
DyScMo2C3: calculated X-ray powder pattern (λ = 1.5418 Å (Cu Kα)), based on DFT lattice parameters and positions (PBE).

Top 6 peaks for 10 to 90 degrees two-theta, by intensity:
| Position (°2θ) | I_rel |
| --- | --- |
| 34.42 | 100 |
| 37.16 | 92 |
| 32.58 | 43 |
| 33.84 | 42 |
| 57.43 | 30 |
| 16.73 | 29 |

Cell and atoms:
```
DyScMo2C3
1.0
11.2349 0.0000 0.0000
0.0000 3.3267 0.0000
-1.8553 0.0000 5.2623
Dy Sc Mo C
2 2 4 6
Direct
0.0000 0.0000 0.0000
0.5000 0.5000 0.0000
0.2338 0.0000 0.6333
0.7338 0.5000 0.6333
0.2617 0.5000 0.1853
0.4670 0.0000 0.4541
0.7617 0.0000 0.1853
0.9670 0.5000 0.4541
0.1176 0.5000 0.3342
0.3405 0.0000 0.0654
0.3801 0.5000 0.5628
0.6176 0.0000 0.3342
0.8405 0.5000 0.0654
0.8801 0.0000 0.5628
```

10.
SnPd9: calculated X-ray powder pattern (λ = 1.5418 Å (Cu Kα)), based on DFT lattice parameters and positions (PBE).

Top 6 peaks for 10 to 90 degrees two-theta, by intensity:
| Position (°2θ) | I_rel |
| --- | --- |
| 39.36 | 100 |
| 44.87 | 48 |
| 40.52 | 40 |
| 79.00 | 25 |
| 65.32 | 15 |
| 69.00 | 15 |

Cell and atoms:
```
SnPd9
1.0
2.8574 0.0000 0.0000
0.0000 2.8574 0.0000
0.0000 0.0000 49.7224
Sn Pd
2 18
Direct
0.2500 0.2500 0.1392
0.7500 0.7500 0.8608
0.2500 0.2500 0.2189
0.2500 0.2500 0.2949
0.2500 0.2500 0.3694
0.2500 0.2500 0.4441
0.2500 0.2500 0.5186
0.2500 0.2500 0.5933
0.2500 0.2500 0.6679
0.2500 0.2500 0.7427
0.2500 0.2500 0.8203
0.7500 0.7500 0.1797
0.7500 0.7500 0.2573
0.7500 0.7500 0.3321
0.7500 0.7500 0.4068
0.7500 0.7500 0.4814
0.7500 0.7500 0.5559
0.7500 0.7500 0.6306
0.7500 0.7500 0.7051
0.7500 0.7500 0.7811
```

11.
ErTmCo2Ge2C: calculated X-ray powder pattern (λ = 1.5418 Å (Cu Kα)), based on DFT lattice parameters and positions (PBE).

Top 6 peaks for 10 to 90 degrees two-theta, by intensity:
| Position (°2θ) | I_rel |
| --- | --- |
| 36.64 | 100 |
| 34.38 | 74 |
| 39.75 | 55 |
| 35.05 | 43 |
| 33.95 | 42 |
| 46.79 | 42 |

Cell and atoms:
```
ErTmCo2Ge2C
1.0
10.6461 0.0000 0.0000
0.0000 3.8833 0.0000
-4.1748 0.0000 5.3264
Er Tm Co Ge C
2 2 4 4 2
Direct
0.0000 0.0000 0.0000
0.5000 0.5000 0.0000
0.1180 0.0000 0.5810
0.6180 0.5000 0.5810
0.2522 0.5000 0.3741
0.3664 0.0000 0.2080
0.7522 0.0000 0.3741
0.8664 0.5000 0.2080
0.2191 0.5000 0.9882
0.3989 0.0000 0.5927
0.7191 0.0000 0.9882
0.8989 0.5000 0.5927
0.0597 0.5000 0.2923
0.5597 0.0000 0.2923
```